# CdH2SO5
Calculated powder X-ray diffraction pattern, CuKα. Input: a cell relaxed with PBE.
No peak broadening, texture or thermal motion is included.

The 10 most intense peaks (2θ = 10–80°), sorted by position:
(1 1 0), 18.33 deg, I 64
(0 2 0), 24.11 deg, I 28
(1 1 -2), 25.32 deg, I 100
(1 2 -1), 27.52 deg, I 15
(2 0 0), 27.83 deg, I 46
(2 1 -2), 29.02 deg, I 17
(2 2 -2), 36.00 deg, I 38
(1 1 2), 37.87 deg, I 37
(1 3 0), 39.21 deg, I 19
(0 4 2), 56.77 deg, I 19

Cell and atoms:
a = 7.537 Å, b = 7.383 Å, c = 8.002 Å
α = 90.00°, β = 121.72°, γ = 90.00°
Atoms (fractional coordinates):
Cd 0.214 0.240 0.260
Cd 0.214 0.260 0.760
Cd 0.786 0.740 0.240
Cd 0.786 0.760 0.740
H 0.207 0.525 0.018
H 0.207 0.975 0.518
H 0.431 0.069 0.629
H 0.431 0.431 0.129
H 0.569 0.569 0.871
H 0.569 0.931 0.371
H 0.793 0.025 0.482
H 0.793 0.475 0.982
S 0.257 0.621 0.514
S 0.257 0.879 0.014
S 0.743 0.121 0.986
S 0.743 0.379 0.486
O 0.119 0.729 0.008
O 0.119 0.771 0.508
O 0.121 0.503 0.343
O 0.121 0.997 0.843
O 0.277 0.097 0.542
O 0.277 0.403 0.042
O 0.337 0.515 0.700
O 0.337 0.985 0.200
O 0.434 0.697 0.508
O 0.434 0.803 0.008
O 0.566 0.197 0.992
O 0.566 0.303 0.492
O 0.663 0.015 0.800
O 0.663 0.485 0.300
O 0.723 0.597 0.958
O 0.723 0.903 0.458
O 0.879 0.003 0.157
O 0.879 0.497 0.657
O 0.881 0.229 0.492
O 0.881 0.271 0.992